(1)
For BaMg14Cu, DFT lattice parameters and positions (PBE) gives the theoretical powder X-ray diffraction pattern in this record (Cu Ka).
Kinematic intensities with the Lorentz-polarization factor, no thermal factor.

The 6 most intense peaks (2θ = 15–90°), by intensity:
(hkl), d_spacing, I (rel.)
2 2 2, 2.449, 100
2 0 4, 2.581, 70
0 2 2, 2.773, 44
4 0 0, 2.610, 44
1 0 2, 5.161, 33
4 2 2, 1.900, 27

Cell and atoms:
```
data_BaMg14Cu
_cell_length_a 10.438
_cell_length_b 6.272
_cell_length_c 11.876
_cell_angle_alpha 90.00
_cell_angle_beta 90.00
_cell_angle_gamma 90.00
_space_group_name_H-M_alt 'A m m 2'
_space_group_IT_number 38
_space_group_name_Hall 'A 2 -2'
loop_
_atom_site_label
_atom_site_fract_x
_atom_site_fract_y
_atom_site_fract_z
Ba1 0.000 0.000 0.000
Mg1 0.000 0.242 0.250
Mg2 0.216 0.000 0.617
Mg3 0.260 0.246 0.378
Mg4 0.273 0.000 0.142
Mg5 0.500 0.000 0.475
Mg6 0.500 0.000 0.970
Mg7 0.500 0.243 0.722
Cu1 0.000 0.000 0.446
```

(2)
For RbTe6, DFT lattice parameters and positions (PBE) gives the theoretical powder X-ray diffraction pattern in this record (Cu Ka).
Kinematic intensities with the Lorentz-polarization factor, no thermal factor.

The 6 most intense peaks (2θ = 15–90°), by intensity:
(hkl), d_spacing, I (rel.)
2 0 -4, 3.129, 100
3 1 0, 3.370, 65
2 2 0, 3.100, 62
3 1 -1, 3.571, 32
4 2 -4, 2.117, 28
1 1 3, 3.039, 27

Cell and atoms:
```
data_RbTe6
_cell_length_a 12.252
_cell_length_b 7.399
_cell_length_c 12.662
_cell_angle_alpha 90.00
_cell_angle_beta 112.04
_cell_angle_gamma 90.00
_space_group_name_H-M_alt 'C 1 2/c 1'
_space_group_IT_number 15
_space_group_name_Hall '-C 2yc'
loop_
_atom_site_label
_atom_site_fract_x
_atom_site_fract_y
_atom_site_fract_z
Rb1 0.000 0.126 0.250
Te1 0.078 0.202 0.557
Te2 0.184 0.447 0.092
Te3 0.218 0.482 0.854
```

(3)
For ScUS3, DFT lattice parameters and positions (PBE) gives the theoretical powder X-ray diffraction pattern in this record (Cu Ka).
Kinematic intensities with the Lorentz-polarization factor, no thermal factor.

The 6 most intense peaks (2θ = 15–90°), by intensity:
(hkl), d_spacing, I (rel.)
1 3 1, 2.629, 100
0 2 2, 3.657, 95
1 1 1, 3.316, 87
1 1 3, 2.314, 63
0 0 2, 4.571, 36
1 3 3, 2.039, 36

Cell and atoms:
```
data_ScUS3
_cell_length_a 3.720
_cell_length_b 12.196
_cell_length_c 9.142
_cell_angle_alpha 90.00
_cell_angle_beta 90.00
_cell_angle_gamma 90.00
_space_group_name_H-M_alt 'C m c m'
_space_group_IT_number 63
_space_group_name_Hall '-C 2c 2'
loop_
_atom_site_label
_atom_site_fract_x
_atom_site_fract_y
_atom_site_fract_z
Sc1 0.000 0.000 0.000
U1 0.000 0.251 0.250
S1 0.000 0.085 0.750
S2 0.000 0.358 0.564
```

(4)
For InPd3, DFT lattice parameters and positions (PBE) gives the theoretical powder X-ray diffraction pattern in this record (Cu Ka).
Kinematic intensities with the Lorentz-polarization factor, no thermal factor.

The 6 most intense peaks (2θ = 15–90°), by intensity:
(hkl), d_spacing, I (rel.)
1 1 4, 2.332, 100
2 0 0, 2.067, 35
3 1 4, 1.238, 25
2 0 8, 1.413, 20
0 0 8, 1.936, 14
2 2 0, 1.461, 11

Cell and atoms:
```
data_InPd3
_cell_length_a 4.133
_cell_length_b 4.133
_cell_length_c 15.485
_cell_angle_alpha 90.00
_cell_angle_beta 90.00
_cell_angle_gamma 90.00
_space_group_name_H-M_alt 'I 4/m m m'
_space_group_IT_number 139
_space_group_name_Hall '-I 4 2'
loop_
_atom_site_label
_atom_site_fract_x
_atom_site_fract_y
_atom_site_fract_z
In1 0.000 0.000 0.125
Pd1 0.000 0.000 0.374
Pd2 0.000 0.500 0.000
Pd3 0.000 0.500 0.250
```

(5)
For Ca5P8, DFT lattice parameters and positions (PBE) gives the theoretical powder X-ray diffraction pattern in this record (Cu Ka).
Kinematic intensities with the Lorentz-polarization factor, no thermal factor.

The 6 most intense peaks (2θ = 15–90°), by intensity:
(hkl), d_spacing, I (rel.)
1 3 1, 2.896, 100
2 0 -2, 2.916, 51
2 0 2, 2.116, 38
3 3 -1, 1.997, 37
0 6 0, 1.987, 18
2 6 -2, 1.642, 14

Cell and atoms:
```
data_Ca5P8
_cell_length_a 6.932
_cell_length_b 11.920
_cell_length_c 7.517
_cell_angle_alpha 90.00
_cell_angle_beta 108.18
_cell_angle_gamma 90.00
_space_group_name_H-M_alt 'C 1 2/m 1'
_space_group_IT_number 12
_space_group_name_Hall '-C 2y'
loop_
_atom_site_label
_atom_site_fract_x
_atom_site_fract_y
_atom_site_fract_z
Ca1 0.000 0.000 0.000
Ca2 0.000 0.165 0.500
Ca3 0.000 0.325 0.000
P1 0.052 0.500 0.663
P2 0.222 0.500 0.258
P3 0.232 0.347 0.740
```

(6)
For Lu3In, DFT lattice parameters and positions (PBE) gives the theoretical powder X-ray diffraction pattern in this record (Cu Ka).
Kinematic intensities with the Lorentz-polarization factor, no thermal factor.

The 6 most intense peaks (2θ = 15–90°), by intensity:
(hkl), d_spacing, I (rel.)
2 0 1, 2.579, 100
0 0 2, 2.736, 26
2 0 0, 2.925, 23
2 2 2, 1.437, 22
2 0 3, 1.548, 21
2 2 0, 1.689, 19

Cell and atoms:
```
data_Lu3In
_cell_length_a 6.7550
_cell_length_b 6.7550
_cell_length_c 5.4712
_cell_angle_alpha 90.00
_cell_angle_beta 90.00
_cell_angle_gamma 120.00
_space_group_name_H-M_alt 'P 63/m m c'
_space_group_IT_number 194
_space_group_name_Hall '-P 6c 2c'
loop_
_atom_site_label
_atom_site_fract_x
_atom_site_fract_y
_atom_site_fract_z
Lu1 0.1689 0.3378 0.2500
In1 0.3333 0.6667 0.7500
```

Question: What is the formula in the fifth record?
Answer: Ca5P8